[1]
# FeSe
Theoretical powder diffraction line list, Cu Kα (weighted mean of Kα1 and Kα2). Input: DFT lattice parameters and positions (PBE).

Largest 10 diffraction maxima, by angle, 2θ from 10° to 80°:
d = 2.774 Å, 32.28 deg, intensity 100; d = 2.676 Å, 33.49 deg, intensity 55; d = 2.193 Å, 41.16 deg, intensity 19; d = 2.052 Å, 44.13 deg, intensity 86; d = 2.012 Å, 45.06 deg, intensity 33; d = 1.914 Å, 47.50 deg, intensity 37; d = 1.820 Å, 50.12 deg, intensity 50; d = 1.557 Å, 59.36 deg, intensity 20; d = 1.550 Å, 59.67 deg, intensity 15; d = 1.387 Å, 67.54 deg, intensity 21

Atomic structure:
Unit cell a=5.284 b=3.829 c=6.207 alpha=90.00 beta=90.00 gamma=90.00
Space group Pnma (No. 62)
Asymmetric unit:
Fe1 0.015 0.250 0.212 [4 per cell]
Se1 0.220 0.250 0.587 [4 per cell]

=====

[2]
# Ti3Zn3As4O16
Theoretical powder diffraction line list, Cu Kα (weighted mean of Kα1 and Kα2). Input: DFT lattice parameters and positions (PBE).

Largest 10 diffraction maxima, by angle, 2θ from 10° to 80°:
d = 8.375 Å, 10.56 deg, intensity 28; d = 4.713 Å, 18.83 deg, intensity 32; d = 3.952 Å, 22.50 deg, intensity 29; d = 3.249 Å, 27.46 deg, intensity 100; d = 3.024 Å, 29.54 deg, intensity 39; d = 2.701 Å, 33.17 deg, intensity 43; d = 2.662 Å, 33.67 deg, intensity 63; d = 2.579 Å, 34.78 deg, intensity 29; d = 2.482 Å, 36.19 deg, intensity 33; d = 1.784 Å, 51.22 deg, intensity 32

Atomic structure:
Unit cell a=8.630 b=4.938 c=16.281 alpha=90.00 beta=103.96 gamma=90.00
Space group P2_1/c (No. 14)
Asymmetric unit:
Ti1 0.000 0.000 0.000 [2 per cell]
Ti2 0.273 0.052 0.615 [4 per cell]
Zn1 0.098 0.573 0.708 [4 per cell]
Zn2 0.500 0.000 0.500 [2 per cell]
As1 0.122 0.008 0.405 [4 per cell]
As2 0.390 0.558 0.329 [4 per cell]
O1 0.012 0.202 0.113 [4 per cell]
O2 0.078 0.695 0.073 [4 per cell]
O3 0.090 0.169 0.304 [4 per cell]
O4 0.205 0.210 0.006 [4 per cell]
O5 0.270 0.652 0.225 [4 per cell]
O6 0.317 0.665 0.894 [4 per cell]
O7 0.395 0.662 0.074 [4 per cell]
O8 0.420 0.200 0.177 [4 per cell]